[1]
Theoretical PXRD pattern
Compound: Cu2Bi3Sb3O14
Radiation: λ = 1.5418 Å (Cu Kα)
Structure: a GGA-PBE-relaxed structure

Structural model:
```
data_Cu2Bi3Sb3O14
_chemical_formula_sum 'Cu6 Bi9 Sb9 O42'
_cell_length_a 7.5320
_cell_length_b 7.5320
_cell_length_c 17.5914
_cell_angle_alpha 90.00
_cell_angle_beta 90.00
_cell_angle_gamma 120.00
_symmetry_space_group_name_H-M 'R -3 m'
_symmetry_Int_Tables_number 166
_symmetry_space_group_name_Hall '-R 3 2"'
loop_
_atom_site_label
_atom_site_fract_x
_atom_site_fract_y
_atom_site_fract_z
Cu1 0.0000 0.0000 0.0000
Cu2 0.0000 0.0000 0.5000
Bi1 0.0000 0.5000 0.0000
Sb1 0.0000 0.5000 0.5000
O1 0.0000 0.0000 0.3907
O2 0.0510 0.5255 0.6109
O3 0.0711 0.5355 0.8567
```

Main lines, in order of rising 2θ (2θ = 15–90°):
h k l	Position (°2θ)	I/Imax
0 1 2	16.92	10
2 0 2	29.20	100
0 0 6	30.49	29
0 2 4	34.23	45
2 2 0	48.34	31
2 0 8	50.03	28
0 4 2	57.48	15
2 2 6	58.23	28
0 2 10	59.72	14
4 0 4	60.56	11
4 2 2	78.32	12
2 4 4	81.01	10

[2]
Theoretical PXRD pattern
Compound: Cu2BiSeO6
Radiation: λ = 1.5418 Å (Cu Kα)
Structure: a GGA-PBE-relaxed structure

Structural model:
```
data_Cu2BiSeO6
_chemical_formula_sum 'Cu8 Bi4 Se4 O24'
_cell_length_a 9.908
_cell_length_b 10.246
_cell_length_c 5.455
_cell_angle_alpha 90.00
_cell_angle_beta 97.07
_cell_angle_gamma 90.00
_symmetry_space_group_name_H-M 'C 1 2/c 1'
_symmetry_Int_Tables_number 15
loop_
_symmetry_equiv_pos_as_xyz
'x,y,z'
'-x,-y,-z'
'-x,y,-z+1/2'
'x,-y,z+1/2'
'x+1/2,y+1/2,z'
'-x+1/2,-y+1/2,-z'
'-x+1/2,y+1/2,-z+1/2'
'x+1/2,-y+1/2,z+1/2'
loop_
_atom_site_label
_atom_site_fract_x
_atom_site_fract_y
_atom_site_fract_z
Cu1 0.236 0.095 0.280
Bi1 0.000 0.148 0.750
Se1 0.000 0.346 0.250
O1 0.110 0.320 0.572
O2 0.119 0.250 0.117
O3 0.149 0.006 0.524
```

Main lines, in order of rising 2θ (2θ = 15–90°):
h k l	Position (°2θ)	I/Imax
2 0 0	18.04	19
0 2 1	23.91	16
2 2 0	25.10	20
2 2 -1	28.84	100
2 2 1	31.35	77
0 0 2	33.09	26
4 0 0	36.55	17
0 4 1	38.90	16
0 4 2	48.96	17
4 4 0	51.53	16
2 2 -3	55.00	16
6 2 -1	59.71	17

[3]
Theoretical PXRD pattern
Compound: Sr2SmCu2Bi2O8
Radiation: λ = 1.5418 Å (Cu Kα)
Structure: a GGA-PBE-relaxed structure

Structural model:
```
data_Sr2SmCu2Bi2O8
_chemical_formula_sum 'Sr4 Sm2 Cu4 Bi4 O16'
_cell_length_a 3.810
_cell_length_b 3.810
_cell_length_c 30.842
_cell_angle_alpha 90.00
_cell_angle_beta 90.00
_cell_angle_gamma 90.00
_symmetry_space_group_name_H-M 'I 4/m m m'
_symmetry_Int_Tables_number 139
_symmetry_space_group_name_Hall '-I 4 2'
loop_
_atom_site_label
_atom_site_fract_x
_atom_site_fract_y
_atom_site_fract_z
Sr1 0.000 0.000 0.115
Sm1 0.000 0.000 0.000
Cu1 0.000 0.000 0.447
Bi1 0.000 0.000 0.297
O1 0.000 0.000 0.201
O2 0.000 0.000 0.366
O3 0.000 0.500 0.050
```

Main lines, in order of rising 2θ (2θ = 15–90°):
h k l	Position (°2θ)	I/Imax
1 0 3	24.92	41
1 0 5	27.52	46
0 0 10	28.95	18
1 0 7	31.03	100
1 1 0	33.26	87
0 0 12	34.91	15
1 0 9	35.24	17
1 1 10	44.66	37
2 0 0	47.74	41
1 1 12	48.98	15
1 0 17	56.15	18
2 1 7	58.04	36